This entry pairs a crystal structure of Ho3CuGeS7 with its computed powder X-ray diffraction pattern. Radiation: Cu Kα X-rays. Structure: the GGA-PBE geometry in Alexandria.

Structural model:
```
data_Ho3CuGeS7
_chemical_formula_sum 'Ho6 Cu2 Ge2 S14'
_cell_length_a 9.8098
_cell_length_b 9.8098
_cell_length_c 5.8667
_cell_angle_alpha 90.00
_cell_angle_beta 90.00
_cell_angle_gamma 120.00
_space_group_name_H-M_alt 'P 63'
_space_group_IT_number 173
_space_group_name_Hall 'P 6c'
loop_
_atom_site_label
_atom_site_type_symbol
_atom_site_fract_x
_atom_site_fract_y
_atom_site_fract_z
Ho1 Ho 0.1366 0.3580 0.0000
Cu1 Cu 0.0000 0.0000 0.4286
Ge1 Ge 0.3333 0.6667 0.5805
S1 S 0.0966 0.5762 0.7434
S2 S 0.1032 0.2607 0.4515
S3 S 0.3333 0.6667 0.2031
```

Largest 10 diffraction maxima, sorted by position, 2θ from 10° to 80°:
| Position (°2θ) | I/Imax |
| --- | --- |
| 23.6 | 21 |
| 25.9 | 100 |
| 27.8 | 21 |
| 30.5 | 24 |
| 36.6 | 48 |
| 37.3 | 22 |
| 38.2 | 24 |
| 41.3 | 23 |
| 41.7 | 31 |
| 48.4 | 23 |

This entry pairs a crystal structure of La8CuGe3I4 with its computed powder X-ray diffraction pattern. Radiation: Cu Kα X-rays. Structure: the GGA-PBE geometry in Alexandria.

Structural model:
```
data_La8CuGe3I4
_chemical_formula_sum 'La24 Cu3 Ge9 I12'
_cell_length_a 8.9175
_cell_length_b 8.9175
_cell_length_c 23.0290
_cell_angle_alpha 90.00
_cell_angle_beta 90.00
_cell_angle_gamma 120.00
_space_group_name_H-M_alt 'R -3 m'
_space_group_IT_number 166
_space_group_name_Hall '-R 3 2"'
loop_
_atom_site_label
_atom_site_type_symbol
_atom_site_fract_x
_atom_site_fract_y
_atom_site_fract_z
La1 La 0.0000 0.0000 0.2356
La2 La 0.0014 0.5007 0.2357
Cu1 Cu 0.0000 0.0000 0.5000
Ge1 Ge 0.0000 0.5000 0.5000
I1 I 0.0000 0.0000 0.0000
I2 I 0.0000 0.5000 0.0000
```

Largest 10 diffraction maxima, sorted by position, 2θ from 10° to 80°:
| Position (°2θ) | I/Imax |
| --- | --- |
| 27.8 | 100 |
| 30.2 | 11 |
| 39.0 | 32 |
| 40.5 | 39 |
| 49.8 | 20 |
| 54.6 | 9 |
| 57.5 | 10 |
| 64.0 | 10 |
| 66.0 | 17 |
| 72.6 | 10 |

This entry pairs a crystal structure of La8Cu3GeI4 with its computed powder X-ray diffraction pattern. Radiation: Cu Kα X-rays. Structure: the GGA-PBE geometry in Alexandria.

Structural model:
```
data_La8Cu3GeI4
_chemical_formula_sum 'La24 Cu9 Ge3 I12'
_cell_length_a 8.7431
_cell_length_b 8.7431
_cell_length_c 23.4617
_cell_angle_alpha 90.00
_cell_angle_beta 90.00
_cell_angle_gamma 120.00
_space_group_name_H-M_alt 'R -3 m'
_space_group_IT_number 166
_space_group_name_Hall '-R 3 2"'
loop_
_atom_site_label
_atom_site_type_symbol
_atom_site_fract_x
_atom_site_fract_y
_atom_site_fract_z
La1 La 0.0000 0.0000 0.2337
La2 La 0.0019 0.5009 0.7639
Cu1 Cu 0.0000 0.5000 0.5000
Ge1 Ge 0.0000 0.0000 0.5000
I1 I 0.0000 0.0000 0.0000
I2 I 0.0000 0.5000 0.0000
```

Largest 10 diffraction maxima, sorted by position, 2θ from 10° to 80°:
| Position (°2θ) | I/Imax |
| --- | --- |
| 28.1 | 100 |
| 30.3 | 12 |
| 38.8 | 33 |
| 41.3 | 38 |
| 50.7 | 19 |
| 54.8 | 10 |
| 58.0 | 10 |
| 63.9 | 9 |
| 67.4 | 16 |
| 73.7 | 10 |